Structure and computed X-ray powder pattern of Sm4NiHg (a crystal structure in Alexandria, relaxed with PBE; λ = 1.5418 Å (Cu Kα)).
Lines closer than 0.1° are merged.

Most intense lines, 2θ from 5° to 70°, sorted by position:
| two_theta | d (Å) | I/Imax |
| --- | --- | --- |
| 11.15 | 7.935 | 7.3 |
| 28.31 | 3.153 | 19.3 |
| 31.90 | 2.805 | 55.3 |
| 33.89 | 2.645 | 100.0 |
| 37.00 | 2.430 | 25.6 |
| 51.05 | 1.789 | 8.2 |
| 54.66 | 1.679 | 8.2 |
| 56.85 | 1.620 | 47.1 |
| 58.13 | 1.587 | 12.9 |
| 67.85 | 1.381 | 19.7 |

Atomic structure:
```
Sm4NiHg
1.0
0.0000 6.8717 6.8717
6.8717 0.0000 6.8717
6.8717 6.8717 0.0000
Sm Ni Hg
16 4 4
Direct
0.0594 0.0594 0.4406 Sm
0.0594 0.4406 0.0594 Sm
0.0594 0.4406 0.4406 Sm
0.1871 0.1871 0.8129 Sm
0.1871 0.8129 0.1871 Sm
0.1871 0.8129 0.8129 Sm
0.2011 0.5996 0.5996 Sm
0.4406 0.0594 0.0594 Sm
0.4406 0.0594 0.4406 Sm
0.4406 0.4406 0.0594 Sm
0.5996 0.2011 0.5996 Sm
0.5996 0.5996 0.2011 Sm
0.5996 0.5996 0.5996 Sm
0.8129 0.1871 0.1871 Sm
0.8129 0.1871 0.8129 Sm
0.8129 0.8129 0.1871 Sm
0.3927 0.3927 0.3927 Ni
0.3927 0.3927 0.8218 Ni
0.3927 0.8218 0.3927 Ni
0.8218 0.3927 0.3927 Ni
0.4973 0.8342 0.8342 Hg
0.8342 0.4973 0.8342 Hg
0.8342 0.8342 0.4973 Hg
0.8342 0.8342 0.8342 Hg
```